For KNpBO5, a structure optimized by DFT (PBE) gives the calculated XRD peak list in this record (Cu Kα (λ = 1.5418 Å)).
Lines closer than 0.1° are merged.

Atomic structure:
abc: 5.6651 5.6651 7.7986
angles: 105.46 105.46 104.46
Fractional coordinates of all 16 atoms:
K: 0.0919 0.9081 0.7500
K: 0.9081 0.0919 0.2500
Np: 0.0000 0.5000 0.0000
Np: 0.5000 0.0000 0.5000
B: 0.4413 0.5587 0.7500
B: 0.5587 0.4413 0.2500
O: 0.1823 0.8177 0.2500
O: 0.2695 0.3506 0.1314
O: 0.2817 0.5962 0.8741
O: 0.3506 0.2695 0.6314
O: 0.4038 0.7183 0.6259
O: 0.5962 0.2817 0.3741
O: 0.6494 0.7305 0.3686
O: 0.7183 0.4038 0.1259
O: 0.7305 0.6494 0.8686
O: 0.8177 0.1823 0.7500

Main lines, by angle (10° ≤ 2θ ≤ 90°):
| Position (°2θ) | I/Imax |
| --- | --- |
| 17.41 | 100 |
| 19.83 | 32 |
| 24.90 | 69 |
| 28.82 | 29 |
| 32.41 | 29 |
| 33.31 | 31 |
| 35.02 | 18 |
| 35.23 | 14 |
| 36.05 | 16 |
| 40.73 | 15 |
| 45.06 | 12 |
| 48.19 | 19 |


For Sr3CaRh, a structure optimized by DFT (PBE) gives the calculated XRD peak list in this record (Cu Kα (λ = 1.5418 Å)).
Lines closer than 0.1° are merged.

Atomic structure:
abc: 9.1875 9.1875 9.1875
angles: 50.50 50.50 50.50
Fractional coordinates of all 10 atoms:
Sr: 0.1201 0.6987 0.3598
Sr: 0.3013 0.6402 0.8799
Sr: 0.3598 0.1201 0.6987
Sr: 0.6402 0.8799 0.3013
Sr: 0.6987 0.3598 0.1201
Sr: 0.8799 0.3013 0.6402
Ca: 0.1876 0.1876 0.1876
Ca: 0.8124 0.8124 0.8124
Rh: 0.3054 0.3054 0.3054
Rh: 0.6946 0.6946 0.6946

Main lines, by angle (10° ≤ 2θ ≤ 90°):
| Position (°2θ) | I/Imax |
| --- | --- |
| 11.07 | 90 |
| 15.00 | 34 |
| 25.31 | 100 |
| 27.31 | 46 |
| 31.98 | 80 |
| 32.31 | 17 |
| 33.63 | 18 |
| 35.79 | 22 |
| 39.84 | 68 |
| 46.59 | 23 |
| 51.31 | 20 |
| 62.74 | 30 |


For PuGa4Pt2, a structure optimized by DFT (PBE) gives the calculated XRD peak list in this record (Cu Kα (λ = 1.5418 Å)).
Lines closer than 0.1° are merged.

Atomic structure:
abc: 17.3372 4.3293 6.6940
angles: 90.00 90.00 90.00
Fractional coordinates of all 28 atoms:
Pu: 0.1397 0.2500 0.0170
Pu: 0.3603 0.7500 0.5170
Pu: 0.6397 0.2500 0.4830
Pu: 0.8603 0.7500 0.9830
Ga: 0.0379 0.7500 0.8463
Ga: 0.0696 0.2500 0.4865
Ga: 0.1847 0.7500 0.3225
Ga: 0.1883 0.7500 0.7302
Ga: 0.3117 0.2500 0.2302
Ga: 0.3153 0.2500 0.8225
Ga: 0.4304 0.7500 0.9865
Ga: 0.4621 0.2500 0.3463
Ga: 0.5379 0.7500 0.6537
Ga: 0.5696 0.2500 0.0135
Ga: 0.6847 0.7500 0.1775
Ga: 0.6883 0.7500 0.7698
Ga: 0.8117 0.2500 0.2698
Ga: 0.8153 0.2500 0.6775
Ga: 0.9304 0.7500 0.5135
Ga: 0.9621 0.2500 0.1537
Pt: 0.0367 0.7500 0.2486
Pt: 0.2162 0.2500 0.5290
Pt: 0.2838 0.7500 0.0290
Pt: 0.4633 0.2500 0.7486
Pt: 0.5367 0.7500 0.2514
Pt: 0.7162 0.2500 0.9710
Pt: 0.7838 0.7500 0.4710
Pt: 0.9633 0.2500 0.7514

Main lines, by angle (10° ≤ 2θ ≤ 90°):
| Position (°2θ) | I/Imax |
| --- | --- |
| 24.48 | 15 |
| 28.59 | 22 |
| 29.01 | 27 |
| 29.15 | 14 |
| 35.45 | 100 |
| 35.79 | 63 |
| 37.41 | 20 |
| 38.77 | 34 |
| 41.73 | 48 |
| 46.52 | 15 |
| 47.00 | 16 |
| 58.26 | 21 |


For MoW3Se2S6, a structure optimized by DFT (PBE) gives the calculated XRD peak list in this record (Cu Kα (λ = 1.5418 Å)).
Lines closer than 0.1° are merged.

Atomic structure:
abc: 3.2218 3.2218 32.1040
angles: 90.00 90.00 120.00
Fractional coordinates of all 12 atoms:
Mo: 0.0000 0.0000 0.0000
W: 0.0000 0.0000 0.4353
W: 0.3333 0.6667 0.2185
W: 0.3333 0.6667 0.6603
Se: 0.0000 0.0000 0.6067
Se: 0.0000 0.0000 0.7139
S: 0.0000 0.0000 0.1698
S: 0.0000 0.0000 0.2671
S: 0.3333 0.6667 0.0484
S: 0.3333 0.6667 0.3867
S: 0.3333 0.6667 0.4840
S: 0.3333 0.6667 0.9516

Main lines, by angle (10° ≤ 2θ ≤ 90°):
| Position (°2θ) | I/Imax |
| --- | --- |
| 11.02 | 100 |
| 13.79 | 56 |
| 32.08 | 22 |
| 32.57 | 15 |
| 34.02 | 11 |
| 35.07 | 11 |
| 36.32 | 12 |
| 37.74 | 57 |
| 44.95 | 35 |
| 47.06 | 13 |
| 57.19 | 18 |
| 80.31 | 10 |